Starting from a DFT-relaxed cell (PBE, OQMD), the powder X-ray diffraction pattern of CdH2C2O4 was calculated for Cu Kα (weighted mean of Kα1 and Kα2).
Lines closer than 0.1° are merged.

Structure:
abc: 11.7558 5.9713 12.4386
angles: 90.00 117.88 90.00
Space group C2/c (No. 15)
Asymmetric unit:
Cd (0.1841, 0.9995, 0.0473)
H (0.0367, 0.4981, 0.1507)
H (0.1159, 0.0622, 0.7596)
C (0.0175, 0.3545, 0.9015)
C (0.1598, 0.1056, 0.2799)
O (0.0274, 0.2350, 0.5435)
O (0.1255, 0.3082, 0.9056)
O (0.1761, 0.1952, 0.3795)
O (0.1917, 0.1990, 0.2072)

Most intense lines, 2θ from 10° to 90°, by angle:
- hkl 0 0 2, 16.12 deg, intensity 98
- hkl 2 0 0, 17.09 deg, intensity 100
- hkl 1 1 -2, 20.64 deg, intensity 95
- hkl 3 1 -2, 27.54 deg, intensity 63
- hkl 3 1 0, 29.82 deg, intensity 89
- hkl 1 1 -4, 33.14 deg, intensity 73
- hkl 0 2 2, 34.19 deg, intensity 40
- hkl 4 0 -4, 34.67 deg, intensity 35
- hkl 2 2 2, 41.89 deg, intensity 43
- hkl 4 2 -4, 46.46 deg, intensity 37